Starting from DFT lattice parameters and positions (PBE), the X-ray powder pattern of Li4Ag4Pb3 was simulated for Cu Kα.
Neutral-atom scattering factors, no anomalous dispersion.

Most intense lines, 2θ from 5° to 70°, in order of falling intensity:
21.11 deg, intensity 100
36.07 deg, intensity 82
36.31 deg, intensity 77
38.41 deg, intensity 74
35.09 deg, intensity 69
23.84 deg, intensity 52
38.77 deg, intensity 41
54.30 deg, intensity 23
53.46 deg, intensity 21
68.72 deg, intensity 17
57.72 deg, intensity 13
68.28 deg, intensity 12

Structural model:
Unit cell a=3.1946 b=4.6450 c=15.1880 alpha=81.30 beta=83.99 gamma=89.56
Fractional coordinates of all 11 atoms:
Li (0.0493, 0.0461, 0.4079)
Li (0.1869, 0.6872, 0.1263)
Li (0.8131, 0.3128, 0.8737)
Li (0.9507, 0.9539, 0.5921)
Ag (0.0926, 0.5939, 0.3122)
Ag (0.2366, 0.2364, 0.0277)
Ag (0.7634, 0.7636, 0.9723)
Ag (0.9074, 0.4061, 0.6878)
Pb (0.3590, 0.8600, 0.7806)
Pb (0.5000, 0.5000, 0.5000)
Pb (0.6410, 0.1400, 0.2194)


Starting from DFT lattice parameters and positions (PBE), the X-ray powder pattern of KTa3Se6 was simulated for Cu Kα.
Neutral-atom scattering factors, no anomalous dispersion.

Most intense lines, 2θ from 5° to 70°, in order of falling intensity:
9.95 deg, intensity 100
6.97 deg, intensity 35
32.26 deg, intensity 16
33.45 deg, intensity 13
44.09 deg, intensity 12
38.41 deg, intensity 9
6.47 deg, intensity 8
32.85 deg, intensity 8
13.96 deg, intensity 8
35.04 deg, intensity 6
38.98 deg, intensity 6
37.95 deg, intensity 6

Structural model:
Unit cell a=12.7416 b=3.4993 c=13.7278 alpha=90.00 beta=95.41 gamma=90.00
Fractional coordinates of all 20 atoms:
K (0.1813, 0.2500, 0.4185)
K (0.8187, 0.7500, 0.5815)
Ta (0.0428, 0.7500, 0.9179)
Ta (0.1353, 0.2500, 0.7275)
Ta (0.4547, 0.7500, 0.5704)
Ta (0.5453, 0.2500, 0.4296)
Ta (0.8647, 0.7500, 0.2725)
Ta (0.9572, 0.2500, 0.0821)
Se (0.0445, 0.7500, 0.2137)
Se (0.0837, 0.7500, 0.5938)
Se (0.1468, 0.2500, 0.0307)
Se (0.2327, 0.7500, 0.8406)
Se (0.3310, 0.2500, 0.6386)
Se (0.3964, 0.7500, 0.3824)
Se (0.6036, 0.2500, 0.6176)
Se (0.6690, 0.7500, 0.3614)
Se (0.7673, 0.2500, 0.1594)
Se (0.8532, 0.7500, 0.9693)
Se (0.9163, 0.2500, 0.4062)
Se (0.9555, 0.2500, 0.7863)


Starting from DFT lattice parameters and positions (PBE), the X-ray powder pattern of MgZrNi was simulated for Cu Kα.
Neutral-atom scattering factors, no anomalous dispersion.

Most intense lines, 2θ from 5° to 70°, in order of falling intensity:
10.53 deg, intensity 100
38.60 deg, intensity 30
44.29 deg, intensity 27
38.87 deg, intensity 21
35.58 deg, intensity 14
35.47 deg, intensity 13
44.76 deg, intensity 11
31.97 deg, intensity 11
38.98 deg, intensity 10
38.15 deg, intensity 9
48.74 deg, intensity 8
56.22 deg, intensity 7

Structural model:
Unit cell a=3.2726 b=4.0931 c=8.5379 alpha=90.00 beta=100.33 gamma=90.00
Fractional coordinates of all 6 atoms:
Mg (0.2017, 0.2500, 0.4055)
Mg (0.7983, 0.7500, 0.5945)
Zr (0.4205, 0.2500, 0.8340)
Zr (0.5795, 0.7500, 0.1660)
Ni (0.0428, 0.2500, 0.0905)
Ni (0.9572, 0.7500, 0.9095)


Starting from DFT lattice parameters and positions (PBE), the X-ray powder pattern of La6HoEr8 was simulated for Cu Kα.
Neutral-atom scattering factors, no anomalous dispersion.

Most intense lines, 2θ from 5° to 70°, in order of falling intensity:
31.31 deg, intensity 100
31.02 deg, intensity 81
31.60 deg, intensity 58
30.42 deg, intensity 57
36.62 deg, intensity 26
32.08 deg, intensity 23
55.17 deg, intensity 20
59.71 deg, intensity 16
52.19 deg, intensity 15
53.75 deg, intensity 14
34.63 deg, intensity 14
62.30 deg, intensity 13

Structural model:
Unit cell a=8.8058 b=8.8058 c=8.8058 alpha=61.94 beta=61.94 gamma=61.94
Fractional coordinates of all 15 atoms:
La (0.0345, 0.7330, 0.5908)
La (0.2670, 0.4092, 0.9655)
La (0.4092, 0.9655, 0.2670)
La (0.5908, 0.0345, 0.7330)
La (0.7330, 0.5908, 0.0345)
La (0.9655, 0.2670, 0.4092)
Ho (0.5000, 0.5000, 0.5000)
Er (0.0769, 0.0769, 0.0769)
Er (0.2043, 0.2655, 0.6143)
Er (0.2655, 0.6143, 0.2043)
Er (0.3857, 0.7957, 0.7345)
Er (0.6143, 0.2043, 0.2655)
Er (0.7345, 0.3857, 0.7957)
Er (0.7957, 0.7345, 0.3857)
Er (0.9231, 0.9231, 0.9231)